1.
Theoretical powder XRD pattern
Compound: La2Mg12Hg7
Radiation: λ = 1.5418 Å (Cu Kα)
Structure: a crystal structure in Alexandria, relaxed with PBE
No peak broadening, texture or thermal motion is included.

Crystal structure
Cell lengths 11.5425, 11.5425, 4.3732 Å; angles 90.00, 90.00, 120.00 degrees
Space group P-3 (No. 147)
Inequivalent atoms, fractional coordinates:
La: 0.3333 0.6667 0.2505 x2
Mg: 0.0460 0.4313 0.7497 x6
Mg: 0.1106 0.2649 0.2468 x6
Hg: 0.0000 0.0000 0.5000 x1
Hg: 0.1329 0.7110 0.7505 x6

Top 10 peaks for 15° ≤ 2θ ≤ 90°, most intense first:
- d = 3.778 Å, I = 100.0
- d = 2.859 Å, I = 66.7
- d = 2.181 Å, I = 56.5
- d = 3.291 Å, I = 55.2
- d = 3.486 Å, I = 37.5
- d = 1.891 Å, I = 36.5
- d = 2.342 Å, I = 35.6
- d = 2.031 Å, I = 27.1
- d = 1.544 Å, I = 23.1
- d = 1.428 Å, I = 22.5


2.
Theoretical powder XRD pattern
Compound: Tl3Hg4Sb
Radiation: λ = 1.5418 Å (Cu Kα)
Structure: a crystal structure in Alexandria, relaxed with PBE
No peak broadening, texture or thermal motion is included.

Crystal structure
Cell lengths 11.4541, 6.6306, 6.3060 Å; angles 90.00, 98.84, 90.00 degrees
Space group C2 (No. 5)
Inequivalent atoms, fractional coordinates:
Tl: 0.0000 0.0000 0.0000 x2
Tl: 0.1709 0.7877 0.6192 x4
Hg: 0.0794 0.5219 0.2093 x4
Hg: 0.2204 0.3340 0.8554 x4
Sb: 0.0000 0.1993 0.5000 x2

Top 10 peaks for 15° ≤ 2θ ≤ 90°, most intense first:
- d = 2.754 Å, I = 100.0
- d = 2.830 Å, I = 87.7
- d = 2.861 Å, I = 79.4
- d = 2.680 Å, I = 79.4
- d = 2.651 Å, I = 65.9
- d = 2.740 Å, I = 60.0
- d = 2.926 Å, I = 49.3
- d = 1.756 Å, I = 28.2
- d = 1.414 Å, I = 26.6
- d = 1.495 Å, I = 22.7


3.
Theoretical powder XRD pattern
Compound: AcTb4Dy
Radiation: λ = 1.5418 Å (Cu Kα)
Structure: a crystal structure in Alexandria, relaxed with PBE
No peak broadening, texture or thermal motion is included.

Crystal structure
Cell lengths 10.7440, 13.4113, 6.7107 Å; angles 90.00, 122.55, 90.00 degrees
Space group C2/c (No. 15)
Inequivalent atoms, fractional coordinates:
Ac: 0.0000 0.0738 0.2500 x4
Tb: 0.1604 0.4221 0.7467 x8
Tb: 0.1656 0.3156 0.2467 x8
Dy: 0.0000 0.1918 0.7500 x4

Top 10 peaks for 15° ≤ 2θ ≤ 90°, most intense first:
- d = 2.884 Å, I = 100.0
- d = 2.828 Å, I = 50.8
- d = 2.958 Å, I = 48.9
- d = 2.795 Å, I = 47.9
- d = 2.945 Å, I = 47.8
- d = 1.643 Å, I = 19.2
- d = 1.992 Å, I = 18.3
- d = 1.984 Å, I = 18.0
- d = 1.523 Å, I = 14.7
- d = 1.519 Å, I = 14.6


4.
Theoretical powder XRD pattern
Compound: Tl3BiPb4
Radiation: λ = 1.5418 Å (Cu Kα)
Structure: a crystal structure in Alexandria, relaxed with PBE
No peak broadening, texture or thermal motion is included.

Crystal structure
Cell lengths 7.0519, 7.1846, 9.9485 Å; angles 90.00, 90.00, 90.00 degrees
Space group Pmna (No. 53)
Inequivalent atoms, fractional coordinates:
Tl: 0.0000 0.0000 0.0000 x2
Tl: 0.2500 0.2452 0.2500 x4
Bi: 0.0000 0.5000 0.0000 x2
Pb: 0.0000 0.0000 0.5000 x2
Pb: 0.0000 0.5000 0.5000 x2
Pb: 0.2500 0.2608 0.7500 x4

Top 10 peaks for 15° ≤ 2θ ≤ 90°, most intense first:
- d = 2.912 Å, I = 100.0
- d = 2.877 Å, I = 97.4
- d = 2.516 Å, I = 67.7
- d = 1.769 Å, I = 48.4
- d = 2.487 Å, I = 33.0
- d = 1.524 Å, I = 29.3
- d = 1.508 Å, I = 28.8
- d = 1.145 Å, I = 18.6
- d = 1.505 Å, I = 14.3
- d = 1.500 Å, I = 14.3


5.
Theoretical powder XRD pattern
Compound: Sm12CuHg6
Radiation: λ = 1.5418 Å (Cu Kα)
Structure: a crystal structure in Alexandria, relaxed with PBE
No peak broadening, texture or thermal motion is included.

Crystal structure
Cell lengths 11.6094, 11.6094, 14.0679 Å; angles 90.00, 90.00, 120.00 degrees
Space group R-3 (No. 148, hexagonal axes)
Inequivalent atoms, fractional coordinates:
Sm: 0.0366 0.1866 0.3383 x18
Sm: 0.0573 0.8483 0.9035 x18
Cu: 0.0000 0.0000 0.5000 x3
Hg: 0.0191 0.4274 0.2117 x18

Top 10 peaks for 15° ≤ 2θ ≤ 90°, most intense first:
- d = 2.735 Å, I = 100.0
- d = 2.592 Å, I = 48.0
- d = 2.581 Å, I = 45.2
- d = 2.469 Å, I = 24.7
- d = 2.727 Å, I = 22.9
- d = 2.709 Å, I = 19.6
- d = 1.523 Å, I = 19.4
- d = 3.320 Å, I = 16.6
- d = 3.648 Å, I = 15.5
- d = 1.610 Å, I = 15.3


6.
Theoretical powder XRD pattern
Compound: Er3Tm4Zr
Radiation: λ = 1.5418 Å (Cu Kα)
Structure: a crystal structure in Alexandria, relaxed with PBE
No peak broadening, texture or thermal motion is included.

Crystal structure
Cell lengths 10.9481, 7.0650, 6.0929 Å; angles 90.00, 90.00, 90.00 degrees
Space group Pmn2_1 (No. 31)
Inequivalent atoms, fractional coordinates:
Er: 0.0000 0.1177 0.0000 x2
Er: 0.2478 0.1216 0.3307 x4
Tm: 0.0000 0.3742 0.5010 x2
Tm: 0.0000 0.6319 0.9997 x2
Tm: 0.2445 0.6286 0.3404 x4
Zr: 0.0000 0.8746 0.5048 x2

Top 10 peaks for 15° ≤ 2θ ≤ 90°, most intense first:
- d = 2.666 Å, I = 100.0
- d = 3.053 Å, I = 24.2
- d = 2.737 Å, I = 23.8
- d = 1.566 Å, I = 19.8
- d = 2.038 Å, I = 15.5
- d = 1.481 Å, I = 14.7
- d = 1.761 Å, I = 13.0
- d = 1.472 Å, I = 10.6
- d = 1.484 Å, I = 7.3
- d = 1.766 Å, I = 6.7


7.
Theoretical powder XRD pattern
Compound: Y3GaPt3
Radiation: λ = 1.5418 Å (Cu Kα)
Structure: a crystal structure in Alexandria, relaxed with PBE
No peak broadening, texture or thermal motion is included.

Crystal structure
Cell lengths 10.8548, 4.1157, 14.4350 Å; angles 90.00, 109.62, 90.00 degrees
Space group C2/m (No. 12)
Inequivalent atoms, fractional coordinates:
Y: 0.0205 0.0000 0.3828 x4
Y: 0.1094 0.0000 0.9243 x4
Y: 0.2372 0.0000 0.2257 x4
Ga: 0.2291 0.5000 0.3969 x4
Pt: 0.0174 0.5000 0.2335 x4
Pt: 0.1220 0.5000 0.0771 x4
Pt: 0.1357 0.5000 0.5492 x4

Top 10 peaks for 15° ≤ 2θ ≤ 90°, most intense first:
- d = 2.260 Å, I = 100.0
- d = 2.713 Å, I = 96.8
- d = 2.711 Å, I = 79.1
- d = 2.058 Å, I = 63.6
- d = 2.399 Å, I = 59.6
- d = 3.818 Å, I = 57.7
- d = 2.755 Å, I = 39.5
- d = 2.266 Å, I = 32.1
- d = 2.284 Å, I = 26.1
- d = 3.553 Å, I = 21.6


8.
Theoretical powder XRD pattern
Compound: TaTlTe4
Radiation: λ = 1.5418 Å (Cu Kα)
Structure: a crystal structure in Alexandria, relaxed with PBE
No peak broadening, texture or thermal motion is included.

Crystal structure
Cell lengths 15.7657, 8.4560, 6.0780 Å; angles 90.00, 94.13, 90.00 degrees
Space group C2/m (No. 12)
Inequivalent atoms, fractional coordinates:
Ta: 0.0174 0.0000 0.2689 x4
Tl: 0.2085 0.5000 0.2300 x4
Te: 0.0000 0.2728 0.0000 x4
Te: 0.1099 0.2117 0.6029 x8
Te: 0.1956 0.0000 0.2402 x4

Top 10 peaks for 15° ≤ 2θ ≤ 90°, most intense first:
- d = 2.463 Å, I = 100.0
- d = 3.126 Å, I = 98.2
- d = 3.195 Å, I = 75.1
- d = 2.471 Å, I = 64.9
- d = 2.655 Å, I = 57.0
- d = 2.879 Å, I = 47.5
- d = 3.724 Å, I = 43.8
- d = 2.899 Å, I = 42.1
- d = 2.114 Å, I = 40.1
- d = 2.051 Å, I = 37.1


9.
Theoretical powder XRD pattern
Compound: Pm2TmScP4
Radiation: λ = 1.5418 Å (Cu Kα)
Structure: a crystal structure in Alexandria, relaxed with PBE
No peak broadening, texture or thermal motion is included.

Crystal structure
Cell lengths 6.9087, 4.0028, 6.9259 Å; angles 90.00, 109.53, 90.00 degrees
Space group P2/m (No. 10)
Inequivalent atoms, fractional coordinates:
Pm: 0.0000 0.0000 0.0000 x1
Pm: 0.0000 0.5000 0.5000 x1
Tm: 0.5000 0.0000 0.5000 x1
Sc: 0.5000 0.5000 0.0000 x1
P: 0.2651 0.5000 0.2502 x2
P: 0.2686 0.0000 0.7610 x2

Top 10 peaks for 15° ≤ 2θ ≤ 90°, most intense first:
- d = 2.826 Å, I = 100.0
- d = 3.263 Å, I = 71.2
- d = 2.000 Å, I = 36.3
- d = 1.996 Å, I = 35.5
- d = 1.705 Å, I = 25.9
- d = 1.633 Å, I = 18.8
- d = 1.265 Å, I = 16.0
- d = 1.263 Å, I = 15.5
- d = 1.413 Å, I = 11.4
- d = 1.155 Å, I = 10.2